This entry pairs a crystal structure of Cs2NpTiO6 with its simulated X-ray powder pattern. Radiation: Cu Kα. Structure: a structure optimized by DFT (GGA-PBE).
Peak positions follow from Bragg's law for the DFT cell and can differ from measured ones.

Structure:
```
10
Lattice="-2.832 2.832 5.761 2.832 -2.832 5.761 2.832 2.832 -5.761" Properties=species:S:1:pos:R:3 pbc="T T T"
Cs 2.832 0.000 0.000
Cs 0.000 2.832 0.000
Np 0.000 0.000 3.009
Ti 0.000 0.000 8.427
O 1.382 1.382 -2.614
O 1.451 -1.451 3.147
O 0.000 0.000 1.064
O -1.451 1.451 3.147
O 1.451 1.451 3.147
O 0.000 0.000 6.704
```

Most intense lines, 10° ≤ 2θ ≤ 80°, low angle first:
Position (°2θ)	d/Å	intensity
17.4	5.084	33.2
27.1	3.289	100.0
31.0	2.881	21.5
31.6	2.832	31.8
44.9	2.020	19.7
45.3	2.003	18.2
52.9	1.732	17.0
53.6	1.711	30.5
55.9	1.644	15.6
72.1	1.310	13.3

***

This entry pairs a crystal structure of Cs2NpTlO6 with its simulated X-ray powder pattern. Radiation: Cu Kα. Structure: a structure optimized by DFT (GGA-PBE).
Peak positions follow from Bragg's law for the DFT cell and can differ from measured ones.

Structure:
```
10
Lattice="4.291 -4.717 0.000 4.291 4.717 0.000 -4.289 0.000 4.722" Properties=species:S:1:pos:R:3 pbc="T T T"
Cs 4.291 2.357 0.000
Cs 4.291 -2.357 0.000
Np -2.145 0.000 2.361
Tl 2.147 0.000 2.361
O -2.149 0.000 4.292
O 2.147 2.785 2.361
O 0.148 0.000 2.368
O 4.145 0.000 2.354
O 2.147 -2.785 2.361
O 6.442 0.000 0.430
```

Most intense lines, 10° ≤ 2θ ≤ 80°, low angle first:
Position (°2θ)	d/Å	intensity
18.8	4.719	13.0
26.7	3.337	57.6
28.1	3.175	100.0
38.1	2.360	30.2
48.0	1.894	44.7
50.6	1.805	20.4
58.1	1.587	17.2
62.2	1.492	12.1
76.0	1.252	13.0
78.0	1.225	12.7